Entry 1:
Diffraction record for PrZn2Hg2. The X-ray diffraction stick pattern is computed, not measured: it uses a crystal structure in Alexandria, relaxed with PBE and copper Kα.

Structural model:
abc: 6.0679 6.4305 7.3885
angles: 83.93 65.82 61.90
Space group P-1 (No. 2)
Symmetry-distinct sites (fractional):
1 Pr 0.1016 0.2506 0.2500 (multiplicity 2)
2 Zn 0.2614 0.8222 0.9407 (multiplicity 2)
3 Zn 0.4742 0.3227 0.4405 (multiplicity 2)
4 Hg 0.1230 0.1644 0.6807 (multiplicity 2)
5 Hg 0.4695 0.3346 0.8186 (multiplicity 2)

The 6 most intense peaks (15 to 90 degrees two-theta), in order of rising 2θ:
26.6 deg, intensity 65, hkl 0 0 2; 29.3 deg, intensity 100, hkl 1 2 1; 32.4 deg, intensity 77, hkl 2 1 2; 35.5 deg, intensity 65, hkl 2 0 2; 36.7 deg, intensity 74, hkl 1 0 3; 46.2 deg, intensity 56, hkl 1 2 3



Entry 2:
Diffraction record for BaCa2CdF8. The X-ray diffraction stick pattern is computed, not measured: it uses a crystal structure in Alexandria, relaxed with PBE and copper Kα.

Structural model:
abc: 4.0726 5.7502 7.9531
angles: 90.00 90.00 90.00
Space group Pmmm (No. 47)
Symmetry-distinct sites (fractional):
1 Ba 0.0000 0.0000 0.0000 (multiplicity 1)
2 Ca 0.5000 0.5000 0.2638 (multiplicity 2)
3 Cd 0.0000 0.0000 0.5000 (multiplicity 1)
4 F 0.0000 0.2639 0.2727 (multiplicity 4)
5 F 0.5000 0.2455 0.5000 (multiplicity 2)
6 F 0.5000 0.2798 0.0000 (multiplicity 2)

The 6 most intense peaks (15 to 90 degrees two-theta), in order of rising 2θ:
15.4 deg, intensity 34, hkl 0 1 0; 26.8 deg, intensity 100, hkl 1 1 0; 27.3 deg, intensity 96, hkl 0 1 2; 35.2 deg, intensity 27, hkl 1 1 2; 44.8 deg, intensity 98, hkl 1 2 2; 53.0 deg, intensity 42, hkl 2 1 2



Entry 3:
Diffraction record for Cs3Sn4I12. The X-ray diffraction stick pattern is computed, not measured: it uses a crystal structure in Alexandria, relaxed with PBE and copper Kα.

Structural model:
abc: 12.3735 12.3735 12.3735
angles: 90.00 90.00 90.00
Space group Im-3 (No. 204)
Symmetry-distinct sites (fractional):
1 Cs 0.0000 0.0000 0.5000 (multiplicity 6)
2 Sn 0.2500 0.2500 0.2500 (multiplicity 8)
3 I 0.0000 0.2702 0.2364 (multiplicity 24)

The 6 most intense peaks (15 to 90 degrees two-theta), in order of rising 2θ:
24.9 deg, intensity 67, hkl 2 2 2; 28.9 deg, intensity 100, hkl 4 0 0; 41.3 deg, intensity 70, hkl 4 4 0; 48.8 deg, intensity 23, hkl 6 2 2; 51.1 deg, intensity 23, hkl 4 4 4; 67.7 deg, intensity 25, hkl 8 4 0



Entry 4:
Diffraction record for PuNp3Tl3S8. The X-ray diffraction stick pattern is computed, not measured: it uses a crystal structure in Alexandria, relaxed with PBE and copper Kα.

Structural model:
abc: 14.1256 8.1037 8.8271
angles: 90.00 122.09 90.00
Space group C2/m (No. 12)
Symmetry-distinct sites (fractional):
1 Pu 0.0000 0.0000 0.0000 (multiplicity 2)
2 Np 0.0000 0.5000 0.0000 (multiplicity 2)
3 Np 0.2500 0.2500 0.0000 (multiplicity 4)
4 Tl 0.0000 0.0000 0.5000 (multiplicity 2)
5 Tl 0.2500 0.2500 0.5000 (multiplicity 4)
6 S 0.0190 0.2524 0.8081 (multiplicity 8)
7 S 0.2332 0.0000 0.1917 (multiplicity 4)
8 S 0.2326 0.5000 0.1953 (multiplicity 4)

The 6 most intense peaks (15 to 90 degrees two-theta), in order of rising 2θ:
23.8 deg, intensity 48, hkl 0 0 2; 26.5 deg, intensity 100, hkl 4 0 -2; 29.9 deg, intensity 50, hkl 4 0 0; 30.0 deg, intensity 97, hkl 2 2 -2; 41.2 deg, intensity 57, hkl 2 2 2; 44.5 deg, intensity 34, hkl 6 2 -2



Entry 5:
Diffraction record for Na16AlTl12. The X-ray diffraction stick pattern is computed, not measured: it uses a crystal structure in Alexandria, relaxed with PBE and copper Kα.

Structural model:
abc: 11.9117 17.1871 10.0670
angles: 90.00 125.12 90.00
Space group Cm (No. 8)
Symmetry-distinct sites (fractional):
1 Na 0.0000 0.0000 0.0000 (multiplicity 2)
2 Na 0.0020 0.2929 0.2994 (multiplicity 4)
3 Na 0.0406 0.3586 0.9909 (multiplicity 4)
4 Na 0.0753 0.5000 0.2654 (multiplicity 2)
5 Na 0.1970 0.2114 0.6949 (multiplicity 4)
6 Na 0.3265 0.3413 0.0035 (multiplicity 4)
7 Na 0.3333 0.3433 0.4098 (multiplicity 4)
8 Na 0.3365 0.0000 0.3425 (multiplicity 2)
9 Na 0.4178 0.1547 0.5888 (multiplicity 4)
10 Na 0.4935 0.5000 0.6485 (multiplicity 2)
11 Al 0.3006 0.0000 0.7197 (multiplicity 2)
12 Tl 0.0879 0.5000 0.8060 (multiplicity 2)
13 Tl 0.0953 0.0933 0.3996 (multiplicity 4)
14 Tl 0.1842 0.1858 0.1898 (multiplicity 4)
15 Tl 0.1952 0.4065 0.6135 (multiplicity 4)
16 Tl 0.2786 0.0934 0.9827 (multiplicity 4)
17 Tl 0.3107 0.5000 0.1994 (multiplicity 2)
18 Tl 0.4836 0.3140 0.8070 (multiplicity 4)

The 6 most intense peaks (15 to 90 degrees two-theta), in order of rising 2θ:
18.0 deg, intensity 100, hkl 1 3 -1; 18.2 deg, intensity 67, hkl 2 2 -1; 18.4 deg, intensity 44, hkl 1 1 1; 18.6 deg, intensity 67, hkl 1 1 -2; 31.7 deg, intensity 40, hkl 4 0 -1; 34.8 deg, intensity 44, hkl 2 6 -1



Entry 6:
Diffraction record for Y2CoTc3. The X-ray diffraction stick pattern is computed, not measured: it uses a crystal structure in Alexandria, relaxed with PBE and copper Kα.

Structural model:
abc: 5.2335 5.2335 13.6175
angles: 90.00 90.00 120.00
Space group R-3m (No. 166, hexagonal axes)
Symmetry-distinct sites (fractional):
1 Y 0.0000 0.0000 0.1248 (multiplicity 6)
2 Co 0.0000 0.0000 0.5000 (multiplicity 3)
3 Tc 0.0000 0.5000 0.0000 (multiplicity 9)

The 6 most intense peaks (15 to 90 degrees two-theta), in order of rising 2θ:
32.9 deg, intensity 38, hkl 1 0 4; 38.6 deg, intensity 44, hkl 0 1 5; 39.8 deg, intensity 100, hkl 0 0 6; 40.3 deg, intensity 61, hkl 0 2 1; 42.0 deg, intensity 53, hkl 2 0 2; 69.0 deg, intensity 26, hkl 2 0 8



Entry 7:
Diffraction record for Li2Ga5Au2. The X-ray diffraction stick pattern is computed, not measured: it uses a crystal structure in Alexandria, relaxed with PBE and copper Kα.

Structural model:
abc: 15.8673 7.4720 5.3267
angles: 90.00 90.00 90.00
Space group Ima2 (No. 46)
Symmetry-distinct sites (fractional):
1 Li 0.0599 0.1188 0.0000 (multiplicity 8)
2 Ga 0.0929 0.7504 0.2364 (multiplicity 8)
3 Ga 0.1613 0.1109 0.5589 (multiplicity 8)
4 Ga 0.2500 0.0574 0.0138 (multiplicity 4)
5 Au 0.0000 0.0000 0.4848 (multiplicity 4)
6 Au 0.2500 0.6732 0.9010 (multiplicity 4)

The 6 most intense peaks (15 to 90 degrees two-theta), in order of rising 2θ:
20.5 deg, intensity 85, hkl 0 1 1; 30.6 deg, intensity 45, hkl 5 1 0; 39.9 deg, intensity 35, hkl 6 1 1; 40.8 deg, intensity 35, hkl 4 0 2; 41.0 deg, intensity 33, hkl 5 2 1; 41.6 deg, intensity 100, hkl 2 3 1



Entry 8:
Diffraction record for Pb2SeF2. The X-ray diffraction stick pattern is computed, not measured: it uses a crystal structure in Alexandria, relaxed with PBE and copper Kα.

Structural model:
abc: 8.9807 7.8706 7.0461
angles: 90.00 110.63 90.00
Space group P2_1/c (No. 14)
Symmetry-distinct sites (fractional):
1 Pb 0.0125 0.1575 0.2503 (multiplicity 4)
2 Pb 0.4141 0.5877 0.7070 (multiplicity 4)
3 Se 0.2239 0.6017 0.0512 (multiplicity 4)
4 F 0.1407 0.0565 0.9827 (multiplicity 4)
5 F 0.4630 0.1954 0.0151 (multiplicity 4)

The 6 most intense peaks (15 to 90 degrees two-theta), in order of rising 2θ:
21.1 deg, intensity 37, hkl 2 0 0; 26.6 deg, intensity 61, hkl 1 2 -1; 27.9 deg, intensity 60, hkl 2 0 -2; 30.2 deg, intensity 100, hkl 1 2 1; 31.1 deg, intensity 29, hkl 2 1 1; 45.1 deg, intensity 33, hkl 1 2 -3



Entry 9:
Diffraction record for CsMgAl2I8. The X-ray diffraction stick pattern is computed, not measured: it uses a crystal structure in Alexandria, relaxed with PBE and copper Kα.

Structural model:
abc: 7.6093 7.6093 33.2915
angles: 90.00 90.00 120.00
Space group R-3 (No. 148, hexagonal axes)
Symmetry-distinct sites (fractional):
1 Cs 0.0000 0.0000 0.0000 (multiplicity 3)
2 Mg 0.0000 0.0000 0.5000 (multiplicity 3)
3 Al 0.0000 0.0000 0.2505 (multiplicity 6)
4 I 0.0000 0.0000 0.3275 (multiplicity 6)
5 I 0.0057 0.3242 0.7746 (multiplicity 18)

The 6 most intense peaks (15 to 90 degrees two-theta), in order of rising 2θ:
24.1 deg, intensity 34, hkl 0 0 9; 24.7 deg, intensity 100, hkl 2 -1 3; 28.4 deg, intensity 68, hkl 1 1 6; 40.2 deg, intensity 31, hkl 2 -1 12; 41.1 deg, intensity 30, hkl 3 0 0; 48.2 deg, intensity 30, hkl 3 0 9



Entry 10:
Diffraction record for Bi5Pb. The X-ray diffraction stick pattern is computed, not measured: it uses a crystal structure in Alexandria, relaxed with PBE and copper Kα.

Structural model:
abc: 5.6014 16.6927 4.0851
angles: 90.00 90.00 90.00
Space group Cmmm (No. 65)
Symmetry-distinct sites (fractional):
1 Bi 0.0000 0.0000 0.0000 (multiplicity 2)
2 Bi 0.0000 0.1595 0.5000 (multiplicity 4)
3 Bi 0.0000 0.3237 0.0000 (multiplicity 4)
4 Pb 0.0000 0.5000 0.5000 (multiplicity 2)

The 6 most intense peaks (15 to 90 degrees two-theta), in order of rising 2θ:
31.5 deg, intensity 100, hkl 1 3 1; 32.0 deg, intensity 25, hkl 2 0 0; 32.2 deg, intensity 23, hkl 0 6 0; 46.0 deg, intensity 17, hkl 2 6 0; 56.7 deg, intensity 20, hkl 3 3 1; 57.0 deg, intensity 17, hkl 1 9 1



Entry 11:
Diffraction record for Ho3GaS6. The X-ray diffraction stick pattern is computed, not measured: it uses a crystal structure in Alexandria, relaxed with PBE and copper Kα.

Structural model:
abc: 10.6447 13.2753 6.4521
angles: 90.00 90.00 90.00
Space group Cmc2_1 (No. 36)
Symmetry-distinct sites (fractional):
1 Ho 0.0000 0.0977 0.0000 (multiplicity 4)
2 Ho 0.1851 0.4009 0.9107 (multiplicity 8)
3 Ga 0.0000 0.2993 0.3745 (multiplicity 4)
4 S 0.0000 0.2827 0.7268 (multiplicity 4)
5 S 0.0000 0.4603 0.2279 (multiplicity 4)
6 S 0.1624 0.0299 0.7063 (multiplicity 8)
7 S 0.1662 0.2327 0.1935 (multiplicity 8)

The 6 most intense peaks (15 to 90 degrees two-theta), in order of rising 2θ:
25.5 deg, intensity 100, hkl 2 2 1; 25.8 deg, intensity 57, hkl 1 3 1; 35.3 deg, intensity 25, hkl 3 3 1; 38.3 deg, intensity 40, hkl 3 1 2; 42.5 deg, intensity 43, hkl 3 5 0; 51.5 deg, intensity 24, hkl 6 0 0